No. 1
Theoretical powder diffractogram of DyPuSnPt for Cu Kα, from a structure optimized by DFT (GGA-PBE).
No peak broadening, texture or thermal motion is included.

Peak list (10 most intense, 2θ from 10° to 80°, low angle first)
2θ (°)  intensity  index
21.06  5  1 1 1
24.37  2  2 0 0
34.73  100  2 2 0
40.97  3  3 1 1
49.94  18  4 0 0
54.77  1  3 3 1
62.26  38  4 2 2
66.51  1  5 1 1
73.31  12  4 4 0
77.26  1  5 3 1

```
data_DyPuSnPt
_space_group_name_H-M_alt 'F -4 3 m'
_space_group_IT_number 216
_space_group_name_Hall 'F -4 2 3'
_cell_length_a 7.3053
_cell_length_b 7.3053
_cell_length_c 7.3053
_cell_angle_alpha 90.00
_cell_angle_beta 90.00
_cell_angle_gamma 90.00
loop_
_atom_site_label
_atom_site_fract_x
_atom_site_fract_y
_atom_site_fract_z
Dy1 0.0000 0.0000 0.0000
Pu1 0.0000 0.0000 0.5000
Sn1 0.2500 0.2500 0.7500
Pt1 0.2500 0.2500 0.2500
```

---

No. 2
Theoretical powder diffractogram of Rb2SmMnS4 for Cu Kα, from a structure optimized by DFT (GGA-PBE).
No peak broadening, texture or thermal motion is included.

Peak list (10 most intense, 2θ from 10° to 80°, low angle first)
2θ (°)  intensity  index
12.59  35  1 1 0
25.33  76  2 2 0
26.14  62  2 2 -2
27.68  100  0 0 2
30.70  68  4 0 -2
30.93  69  0 4 0
40.74  26  4 0 0
41.98  55  0 4 2
42.84  27  4 0 -4
44.14  44  4 4 -2

```
data_Rb2SmMnS4
_space_group_name_H-M_alt 'C 1 2/c 1'
_space_group_IT_number 15
_cell_length_a 11.6631
_cell_length_b 11.5637
_cell_length_c 8.4867
_cell_angle_alpha 90.00
_cell_angle_beta 130.57
_cell_angle_gamma 90.00
loop_
_space_group_symop_operation_xyz
'x,y,z'
'-x,-y,-z'
'-x,y,-z+1/2'
'x,-y,z+1/2'
'x+1/2,y+1/2,z'
'-x+1/2,-y+1/2,-z'
'-x+1/2,y+1/2,-z+1/2'
'x+1/2,-y+1/2,z+1/2'
loop_
_atom_site_label
_atom_site_fract_x
_atom_site_fract_y
_atom_site_fract_z
Rb1 0.0000 0.0000 0.0000
Rb2 0.2500 0.2500 0.0000
Sm1 0.0000 0.5000 0.0000
Mn1 0.2500 0.2500 0.5000
S1 0.0519 0.2634 0.5131
S2 0.2135 0.4610 0.4460
```

---

No. 3
Theoretical powder diffractogram of CeCd2InAu4 for Cu Kα, from a structure optimized by DFT (GGA-PBE).
No peak broadening, texture or thermal motion is included.

Peak list (10 most intense, 2θ from 10° to 80°, low angle first)
2θ (°)  intensity  index
25.40  12  1 0 4
34.61  100  0 1 8
37.79  90  1 1 0
40.29  5  1 0 10
52.17  31  2 0 8
59.88  14  1 0 16
65.55  4  1 1 15
66.19  30  1 2 8
68.23  16  3 0 0
73.01  8  0 2 16

```
data_CeCd2InAu4
_space_group_name_H-M_alt 'R -3 m'
_space_group_IT_number 166
_space_group_name_Hall '-R 3 2"'
_cell_length_a 4.7617
_cell_length_b 4.7617
_cell_length_c 26.6570
_cell_angle_alpha 90.00
_cell_angle_beta 90.00
_cell_angle_gamma 120.00
loop_
_atom_site_label
_atom_site_fract_x
_atom_site_fract_y
_atom_site_fract_z
Ce1 0.0000 0.0000 0.0000
Cd1 0.0000 0.0000 0.2483
In1 0.0000 0.0000 0.5000
Au1 0.0000 0.0000 0.1244
Au2 0.0000 0.0000 0.3878
```

---

No. 4
Theoretical powder diffractogram of MgTcAs for Cu Kα, from a structure optimized by DFT (GGA-PBE).
No peak broadening, texture or thermal motion is included.

Peak list (10 most intense, 2θ from 10° to 80°, low angle first)
2θ (°)  intensity  index
14.76  97  0 0 1
25.79  30  1 0 1
33.52  56  1 1 1
42.71  100  1 1 2
42.82  55  2 0 0
45.54  22  2 0 1
55.26  13  1 1 3
62.17  18  2 2 0
78.14  12  2 0 4
78.37  32  3 1 2

```
data_MgTcAs
_space_group_name_H-M_alt 'P 4/n m m'
_space_group_IT_number 129
_cell_length_a 4.2235
_cell_length_b 4.2235
_cell_length_c 6.0024
_cell_angle_alpha 90.00
_cell_angle_beta 90.00
_cell_angle_gamma 90.00
loop_
_space_group_symop_operation_xyz
'x,y,z'
'-x,-y,-z'
'-y+1/2,x,z'
'y+1/2,-x,-z'
'-x+1/2,-y+1/2,z'
'x+1/2,y+1/2,-z'
'y,-x+1/2,z'
'-y,x+1/2,-z'
'x+1/2,-y,-z'
'-x+1/2,y,z'
'-y,-x,-z'
'y,x,z'
'-x,y+1/2,-z'
'x,-y+1/2,z'
'y+1/2,x+1/2,-z'
'-y+1/2,-x+1/2,z'
loop_
_atom_site_label
_atom_site_fract_x
_atom_site_fract_y
_atom_site_fract_z
Mg1 0.2500 0.2500 0.1813
Tc1 0.2500 0.7500 0.5000
As1 0.2500 0.2500 0.7322
```

---

No. 5
Theoretical powder diffractogram of LiLa for Cu Kα, from a structure optimized by DFT (GGA-PBE).
No peak broadening, texture or thermal motion is included.

Peak list (10 most intense, 2θ from 10° to 80°, low angle first)
2θ (°)  intensity  index
15.81  32  0 0 1
20.55  100  1 0 -1
24.34  94  0 1 0
24.65  90  1 0 1
31.92  30  0 0 2
32.06  79  1 1 -1
32.68  44  2 0 0
33.21  30  1 0 -2
34.92  82  1 1 1
41.16  40  2 1 0

```
data_LiLa
_space_group_name_H-M_alt 'P 1 2/m 1'
_space_group_IT_number 10
_cell_length_a 5.5694
_cell_length_b 3.6567
_cell_length_c 5.6976
_cell_angle_alpha 90.00
_cell_angle_beta 100.24
_cell_angle_gamma 90.00
loop_
_space_group_symop_operation_xyz
'x,y,z'
'-x,-y,-z'
'-x,y,-z'
'x,-y,z'
loop_
_atom_site_label
_atom_site_fract_x
_atom_site_fract_y
_atom_site_fract_z
Li1 0.2102 0.0000 0.1891
La1 0.2812 0.5000 0.6923
```